1.
Structure and theoretical powder diffractogram of Sc2Mo2W (a GGA-PBE-relaxed structure; copper Kα).
Lines closer than 0.1° are merged.

Structural model:
```
data_Sc2Mo2W
_chemical_formula_sum 'Sc4 Mo4 W2'
_cell_length_a 6.4920
_cell_length_b 6.4920
_cell_length_c 4.6580
_cell_angle_alpha 90.00
_cell_angle_beta 90.00
_cell_angle_gamma 90.00
_space_group_name_H-M_alt 'P 4/m b m'
_space_group_IT_number 127
_space_group_name_Hall '-P 4 2ab'
loop_
_atom_site_label
_atom_site_type_symbol
_atom_site_fract_x
_atom_site_fract_y
_atom_site_fract_z
_atom_site_occupancy
Sc1 Sc 0.1739 0.3261 0.0000 1
Mo1 Mo 0.1359 0.6359 0.5000 1
W1 W 0.0000 0.0000 0.5000 1
```

Peak list (6 most intense, 10 to 90 degrees two-theta, low angle first)
2θ 19.1, d = 4.658 Å, rel. 100, hkl 0 0 1; 2θ 33.7, d = 2.663 Å, rel. 51, hkl 2 0 1; 2θ 36.5, d = 2.464 Å, rel. 86, hkl 2 1 1; 2θ 44.1, d = 2.053 Å, rel. 61, hkl 3 1 0; 2θ 48.5, d = 1.879 Å, rel. 53, hkl 3 1 1; 2θ 60.1, d = 1.540 Å, rel. 48, hkl 3 1 2

2.
Structure and theoretical powder diffractogram of YScMo (a GGA-PBE-relaxed structure; copper Kα).
Lines closer than 0.1° are merged.

Structural model:
```
data_YScMo
_chemical_formula_sum 'Y8 Sc8 Mo8'
_cell_length_a 6.2069
_cell_length_b 10.1776
_cell_length_c 8.7318
_cell_angle_alpha 90.00
_cell_angle_beta 90.00
_cell_angle_gamma 90.00
_space_group_name_H-M_alt 'C m c e'
_space_group_IT_number 64
_space_group_name_Hall '-C 2ac 2'
loop_
_atom_site_label
_atom_site_type_symbol
_atom_site_fract_x
_atom_site_fract_y
_atom_site_fract_z
_atom_site_occupancy
Y1 Y 0.0000 0.1611 0.0700 1
Sc1 Sc 0.2500 0.1048 0.7500 1
Mo1 Mo 0.0000 0.0816 0.3922 1
```

Peak list (6 most intense, 10 to 90 degrees two-theta, low angle first)
2θ 28.8, d = 3.103 Å, rel. 37, hkl 2 0 0; 2θ 31.8, d = 2.818 Å, rel. 39, hkl 1 3 1; 2θ 35.2, d = 2.547 Å, rel. 31, hkl 0 4 0; 2θ 35.4, d = 2.534 Å, rel. 100, hkl 2 2 1; 2θ 35.5, d = 2.527 Å, rel. 78, hkl 0 2 3; 2θ 36.5, d = 2.460 Å, rel. 29, hkl 1 3 2

3.
Structure and theoretical powder diffractogram of ScZn2Mo (a GGA-PBE-relaxed structure; copper Kα).
Lines closer than 0.1° are merged.

Structural model:
```
data_ScZn2Mo
_chemical_formula_sum 'Sc1 Zn2 Mo1'
_cell_length_a 2.8937
_cell_length_b 4.2426
_cell_length_c 5.5599
_cell_angle_alpha 90.00
_cell_angle_beta 103.85
_cell_angle_gamma 90.00
_space_group_name_H-M_alt 'P 1 m 1'
_space_group_IT_number 6
loop_
_space_group_symop_operation_xyz
'x,y,z'
'x,-y,z'
loop_
_atom_site_label
_atom_site_type_symbol
_atom_site_fract_x
_atom_site_fract_y
_atom_site_fract_z
_atom_site_occupancy
Sc1 Sc 0.0000 0.0000 0.0000 1
Zn1 Zn 0.6128 0.5000 0.2351 1
Zn2 Zn 0.7322 0.0000 0.4928 1
Mo1 Mo 0.3473 0.5000 0.7110 1
```

Peak list (6 most intense, 10 to 90 degrees two-theta, low angle first)
2θ 38.4, d = 2.342 Å, rel. 36, hkl 1 1 0; 2θ 38.7, d = 2.325 Å, rel. 40, hkl 1 1 -1; 2θ 39.6, d = 2.278 Å, rel. 100, hkl 0 1 2; 2θ 40.4, d = 2.232 Å, rel. 16, hkl 1 0 -2; 2θ 42.6, d = 2.121 Å, rel. 34, hkl 0 2 0; 2θ 69.7, d = 1.349 Å, rel. 14, hkl 0 0 4

4.
Structure and theoretical powder diffractogram of ScZn2Mo (a GGA-PBE-relaxed structure; copper Kα).
Lines closer than 0.1° are merged.

Structural model:
```
data_ScZn2Mo
_chemical_formula_sum 'Sc1 Zn2 Mo1'
_cell_length_a 2.9442
_cell_length_b 3.9030
_cell_length_c 5.6764
_cell_angle_alpha 90.00
_cell_angle_beta 90.18
_cell_angle_gamma 90.00
_space_group_name_H-M_alt 'P 1 2/m 1'
_space_group_IT_number 10
loop_
_space_group_symop_operation_xyz
'x,y,z'
'-x,-y,-z'
'-x,y,-z'
'x,-y,z'
loop_
_atom_site_label
_atom_site_type_symbol
_atom_site_fract_x
_atom_site_fract_y
_atom_site_fract_z
_atom_site_occupancy
Sc1 Sc 0.0000 0.0000 0.0000 1
Zn1 Zn 0.5000 0.5000 0.2688 1
Mo1 Mo 0.0000 0.0000 0.5000 1
```

Peak list (6 most intense, 10 to 90 degrees two-theta, low angle first)
2θ 15.6, d = 5.676 Å, rel. 27, hkl 0 0 1; 2θ 38.3, d = 2.350 Å, rel. 100, hkl 1 1 0; 2θ 39.2, d = 2.295 Å, rel. 91, hkl 0 1 2; 2θ 44.3, d = 2.046 Å, rel. 32, hkl 1 0 -2; 2θ 44.4, d = 2.040 Å, rel. 31, hkl 1 0 2; 2θ 46.5, d = 1.952 Å, rel. 28, hkl 0 2 0